Diffraction record for LiTbAu2. The XRD peak list is theoretical, not measured: it uses a cell relaxed with PBE and Cu Kα, 1.54184 Å.
No peak broadening, texture or thermal motion is included.

Atomic structure:
```
4
Lattice="0.0000 3.4508 3.4508 3.4508 0.0000 3.4508 3.4508 3.4508 0.0000" Properties=species:S:1:pos:R:3 pbc="T T T"
Li 0.0000 0.0000 0.0000
Tb 3.4508 3.4508 3.4508
Au 1.7254 1.7254 1.7254
Au 5.1762 5.1762 5.1762
```

Most intense lines, 10° ≤ 2θ ≤ 90°, low angle first:
Position (°2θ)	I (rel.)
22.31	18
25.82	21
36.83	100
43.49	9
45.53	7
53.08	18
58.27	4
59.94	9
66.35	36
78.38	12
84.17	5
89.89	17